(1)
Starting from DFT lattice parameters and positions (PBE), the powder X-ray diffraction pattern of Na2Ge3Au9 was computed for Cu Kα, 1.54184 Å.
Peak positions follow from Bragg's law for the DFT cell and can differ from measured ones.

Structure:
```
Na2Ge3Au9
1.0
6.923 -4.120 0.000
6.923 4.120 0.000
-4.550 0.000 9.541
Na Ge Au
4 6 18
Direct
0.085 0.251 0.245
0.251 0.085 0.745
0.749 0.915 0.255
0.915 0.749 0.755
0.000 0.500 0.000
0.137 0.690 0.506
0.310 0.863 0.994
0.500 0.000 0.500
0.690 0.137 0.006
0.863 0.310 0.494
0.024 0.857 0.081
0.143 0.976 0.419
0.193 0.355 0.561
0.212 0.572 0.261
0.295 0.488 0.927
0.355 0.193 0.061
0.367 0.633 0.750
0.428 0.788 0.239
0.488 0.295 0.427
0.512 0.705 0.573
0.572 0.212 0.761
0.633 0.367 0.250
0.645 0.807 0.939
0.705 0.512 0.073
0.788 0.428 0.739
0.807 0.645 0.439
0.857 0.024 0.581
0.976 0.143 0.919
```

Top 10 peaks for 5° ≤ 2θ ≤ 70°, low angle first:
2theta, intensity
12.9, 29
29.1, 28
35.7, 88
35.9, 78
36.1, 71
37.5, 28
38.1, 100
39.0, 54
42.7, 36
42.8, 35


(2)
Starting from DFT lattice parameters and positions (PBE), the powder X-ray diffraction pattern of Na2Ge7Au12 was computed for Cu Kα, 1.54184 Å.
Peak positions follow from Bragg's law for the DFT cell and can differ from measured ones.

Structure:
```
Na2Ge7Au12
1.0
4.671 0.000 0.000
0.148 10.319 0.000
1.693 4.954 8.927
Na Ge Au
2 7 12
Direct
0.235 0.335 0.332
0.765 0.665 0.668
0.000 0.000 0.000
0.233 0.870 0.726
0.236 0.385 0.891
0.332 0.710 0.398
0.668 0.290 0.602
0.764 0.615 0.109
0.767 0.130 0.274
0.153 0.132 0.700
0.191 0.449 0.615
0.268 0.744 0.135
0.268 0.936 0.452
0.284 0.604 0.943
0.305 0.126 0.129
0.695 0.874 0.871
0.716 0.396 0.057
0.732 0.064 0.548
0.732 0.256 0.865
0.809 0.551 0.385
0.847 0.868 0.300
```

Top 10 peaks for 5° ≤ 2θ ≤ 70°, low angle first:
2theta, intensity
17.0, 47
17.4, 44
30.2, 50
32.2, 73
33.8, 45
34.6, 48
35.8, 58
39.2, 100
40.6, 35
43.7, 42